1.
Theoretical powder X-ray diffraction pattern of H3PbCI3N2 for Cu Kα, from a crystal structure in the Materials Project, relaxed with GGA-PBE.
Lines closer than 0.1° are merged.

Cell and atoms:
Lattice parameters (Å, degrees): 8.146 12.971 9.449 90.00 90.00 90.00
Fractional coordinates of all 40 atoms:
H (0.024, 0.183, 0.126)
H (0.024, 0.317, 0.126)
H (0.143, 0.750, 0.945)
H (0.357, 0.250, 0.445)
H (0.476, 0.683, 0.626)
H (0.476, 0.817, 0.626)
H (0.524, 0.183, 0.374)
H (0.524, 0.317, 0.374)
H (0.643, 0.750, 0.555)
H (0.857, 0.250, 0.055)
H (0.976, 0.683, 0.874)
H (0.976, 0.817, 0.874)
Pb (0.000, 0.000, 0.500)
Pb (0.000, 0.500, 0.500)
Pb (0.500, 0.000, 0.000)
Pb (0.500, 0.500, 0.000)
C (0.071, 0.250, 0.939)
C (0.429, 0.750, 0.439)
C (0.571, 0.250, 0.561)
C (0.929, 0.750, 0.061)
I (0.065, 0.250, 0.452)
I (0.156, 0.011, 0.178)
I (0.156, 0.489, 0.178)
I (0.344, 0.511, 0.678)
I (0.344, 0.989, 0.678)
I (0.435, 0.750, 0.952)
I (0.565, 0.250, 0.048)
I (0.656, 0.011, 0.322)
I (0.656, 0.489, 0.322)
I (0.844, 0.511, 0.822)
I (0.844, 0.989, 0.822)
I (0.935, 0.750, 0.548)
N (0.011, 0.750, 0.932)
N (0.148, 0.250, 0.835)
N (0.352, 0.750, 0.335)
N (0.489, 0.250, 0.432)
N (0.511, 0.750, 0.568)
N (0.648, 0.250, 0.665)
N (0.852, 0.750, 0.165)
N (0.989, 0.250, 0.068)

Principal peaks in the range 10 to 90 degrees two-theta, by intensity:
d/Å  2θ (°)  Rel. int.  index
3.242  27.51  100.0  0 4 0
6.170  14.36  79.2  1 0 1
6.485  13.65  72.3  0 2 0
2.938  30.43  49.8  1 0 3
2.177  41.48  41.7  1 4 3
3.085  28.94  40.4  2 0 2
2.675  33.49  38.8  1 2 3
2.235  40.36  38.7  2 4 2

2.
Theoretical powder X-ray diffraction pattern of H6PbC3S2IN for Cu Kα, from a crystal structure in the Materials Project, relaxed with GGA-PBE.
Lines closer than 0.1° are merged.

Cell and atoms:
Lattice parameters (Å, degrees): 10.831 8.467 11.813 90.00 116.28 90.00
Fractional coordinates of all 56 atoms:
H (0.023, 0.248, 0.167)
H (0.023, 0.252, 0.667)
H (0.030, 0.579, 0.631)
H (0.030, 0.921, 0.131)
H (0.053, 0.078, 0.598)
H (0.053, 0.422, 0.098)
H (0.080, 0.247, 0.896)
H (0.080, 0.253, 0.396)
H (0.086, 0.584, 0.857)
H (0.086, 0.916, 0.357)
H (0.148, 0.070, 0.983)
H (0.148, 0.430, 0.483)
H (0.852, 0.570, 0.517)
H (0.852, 0.930, 0.017)
H (0.914, 0.084, 0.643)
H (0.914, 0.416, 0.143)
H (0.920, 0.747, 0.604)
H (0.920, 0.753, 0.104)
H (0.947, 0.578, 0.902)
H (0.947, 0.922, 0.402)
H (0.970, 0.079, 0.869)
H (0.970, 0.421, 0.369)
H (0.977, 0.748, 0.333)
H (0.977, 0.752, 0.833)
Pb (0.493, 0.734, 0.379)
Pb (0.493, 0.766, 0.879)
Pb (0.507, 0.234, 0.121)
Pb (0.507, 0.266, 0.621)
C (0.020, 0.123, 0.667)
C (0.020, 0.377, 0.167)
C (0.076, 0.118, 0.891)
C (0.076, 0.382, 0.391)
C (0.224, 0.523, 0.316)
C (0.224, 0.977, 0.816)
C (0.776, 0.023, 0.184)
C (0.776, 0.477, 0.684)
C (0.924, 0.618, 0.609)
C (0.924, 0.882, 0.109)
C (0.980, 0.623, 0.833)
C (0.980, 0.877, 0.333)
S (0.267, 0.574, 0.197)
S (0.267, 0.926, 0.697)
S (0.326, 0.589, 0.469)
S (0.326, 0.911, 0.969)
S (0.674, 0.089, 0.031)
S (0.674, 0.411, 0.531)
S (0.733, 0.074, 0.303)
S (0.733, 0.426, 0.803)
I (0.346, 0.074, 0.318)
I (0.346, 0.426, 0.818)
I (0.654, 0.574, 0.182)
I (0.654, 0.926, 0.682)
N (0.112, 0.065, 0.793)
N (0.112, 0.435, 0.293)
N (0.888, 0.565, 0.707)
N (0.888, 0.935, 0.207)

Principal peaks in the range 10 to 90 degrees two-theta, by intensity:
d/Å  2θ (°)  Rel. int.  index
3.191  27.96  100.0  2 2 0
3.594  24.77  90.7  1 1 2
4.167  21.32  89.3  2 1 -2
2.811  31.83  87.2  2 1 2
4.823  18.40  82.2  1 1 -2
4.490  19.77  78.1  0 1 2
2.543  35.29  75.8  1 3 -2
3.879  22.92  68.2  1 2 0

3.
Theoretical powder X-ray diffraction pattern of H6RuCI3N for Cu Kα, from a crystal structure in the Materials Project, relaxed with GGA-PBE.
Lines closer than 0.1° are merged.

Cell and atoms:
Lattice parameters (Å, degrees): 7.684 7.696 13.736 89.98 89.37 89.85
Fractional coordinates of all 48 atoms:
H (0.000, 0.000, 0.000)
H (0.001, 0.042, 0.472)
H (0.029, 0.172, 0.147)
H (0.047, 0.126, 0.641)
H (0.274, 0.594, 0.988)
H (0.297, 0.669, 0.482)
H (0.305, 0.563, 0.651)
H (0.328, 0.653, 0.159)
H (0.407, 0.753, 0.642)
H (0.408, 0.456, 0.130)
H (0.419, 0.472, 0.492)
H (0.429, 0.766, 0.999)
H (0.503, 0.552, 0.971)
H (0.520, 0.569, 0.651)
H (0.530, 0.675, 0.483)
H (0.540, 0.625, 0.144)
H (0.773, 0.083, 0.490)
H (0.780, 0.075, 0.991)
H (0.825, 0.244, 0.140)
H (0.835, 0.165, 0.659)
H (0.862, 0.036, 0.161)
H (0.906, 0.963, 0.635)
H (0.925, 0.258, 0.495)
H (0.955, 0.226, 0.977)
Ru (0.405, 0.110, 0.726)
Ru (0.410, 0.107, 0.332)
Ru (0.907, 0.621, 0.767)
Ru (0.913, 0.617, 0.369)
C (0.405, 0.628, 0.011)
C (0.415, 0.609, 0.512)
C (0.904, 0.121, 0.511)
C (0.911, 0.108, 0.015)
I (0.153, 0.368, 0.312)
I (0.159, 0.847, 0.298)
I (0.162, 0.876, 0.799)
I (0.174, 0.366, 0.788)
I (0.397, 0.090, 0.530)
I (0.409, 0.123, 0.128)
I (0.642, 0.866, 0.796)
I (0.666, 0.374, 0.312)
I (0.667, 0.344, 0.781)
I (0.677, 0.858, 0.299)
I (0.898, 0.608, 0.971)
I (0.914, 0.631, 0.568)
N (0.412, 0.625, 0.619)
N (0.421, 0.589, 0.117)
N (0.907, 0.142, 0.121)
N (0.924, 0.093, 0.617)

Principal peaks in the range 10 to 90 degrees two-theta, by intensity:
d/Å  2θ (°)  Rel. int.  index
2.719  32.94  100.0  2 -2 0
3.361  26.52  86.0  0 2 -2
5.438  16.30  85.0  1 -1 0
6.867  12.89  81.9  0 0 2
3.338  26.70  36.3  2 0 -2
3.434  25.95  34.3  0 0 4
1.924  47.23  24.9  0 4 0
2.521  35.61  18.7  -2 2 2